Structure and calculated powder XRD pattern of LiMnP2HO7 (the PBE+U geometry in the Materials Project; Cu Kα).

Cell and atoms:
```
data_LiMnP2HO7
_space_group_name_H-M_alt 'P -1'
_space_group_IT_number 2
_space_group_name_Hall '-P 1'
_cell_length_a 6.2652
_cell_length_b 6.5410
_cell_length_c 7.0025
_cell_angle_alpha 94.17
_cell_angle_beta 96.91
_cell_angle_gamma 110.87
loop_
_atom_site_label
_atom_site_type_symbol
_atom_site_fract_x
_atom_site_fract_y
_atom_site_fract_z
Li1 Li 0.1011 0.2030 0.3761
Mn1 Mn 0.2289 0.7590 0.1913
P1 P 0.2457 0.2921 0.8299
P2 P 0.3804 0.7058 0.6451
H1 H 0.2998 0.9513 0.8187
O1 O 0.0601 0.1626 0.6567
O2 O 0.1224 0.3468 0.9918
O3 O 0.2101 0.7860 0.7519
O4 O 0.2670 0.6002 0.4394
O5 O 0.3815 0.1128 0.3289
O6 O 0.4138 0.5166 0.7638
O7 O 0.4187 0.1777 0.8858
```

Largest 10 diffraction maxima, in order of falling intensity, 10 to 90 degrees two-theta:
29.46°, intensity 100
28.13°, intensity 93
30.45°, intensity 87
25.83°, intensity 65
18.24°, intensity 54
20.87°, intensity 44
31.40°, intensity 40
30.93°, intensity 37
46.44°, intensity 37
37.35°, intensity 36


Structure and calculated powder XRD pattern of BaCaNdMnO6 (the PBE+U geometry in the Materials Project; Cu Kα).

Cell and atoms:
```
data_BaCaNdMnO6
_space_group_name_H-M_alt 'F -4 3 m'
_space_group_IT_number 216
_space_group_name_Hall 'F -4 2 3'
_cell_length_a 8.2128
_cell_length_b 8.2128
_cell_length_c 8.2128
_cell_angle_alpha 90.00
_cell_angle_beta 90.00
_cell_angle_gamma 90.00
loop_
_atom_site_label
_atom_site_type_symbol
_atom_site_fract_x
_atom_site_fract_y
_atom_site_fract_z
Ba1 Ba 0.0000 0.0000 0.0000
Ca1 Ca 0.2500 0.2500 0.7500
Nd1 Nd 0.0000 0.0000 0.5000
Mn1 Mn 0.2500 0.2500 0.2500
O1 O 0.0188 0.2500 0.2500
```

Largest 10 diffraction maxima, in order of falling intensity, 10 to 90 degrees two-theta:
30.79°, intensity 100
54.76°, intensity 38
44.11°, intensity 34
37.95°, intensity 24
89.25°, intensity 21
64.15°, intensity 20
21.64°, intensity 19
72.84°, intensity 17
49.64°, intensity 11
77.02°, intensity 8


Structure and calculated powder XRD pattern of Li9Mn2Co5O16 (the PBE+U geometry in the Materials Project; Cu Kα).

Cell and atoms:
```
data_Li9Mn2Co5O16
_space_group_name_H-M_alt 'P 1'
_space_group_IT_number 1
_space_group_name_Hall 'P 1'
_cell_length_a 2.9888
_cell_length_b 9.8986
_cell_length_c 10.0146
_cell_angle_alpha 78.23
_cell_angle_beta 87.67
_cell_angle_gamma 87.38
loop_
_atom_site_label
_atom_site_type_symbol
_atom_site_fract_x
_atom_site_fract_y
_atom_site_fract_z
Li1 Li 0.0000 0.0000 0.0000
Li2 Li 0.0043 0.5020 0.7513
Li3 Li 0.0115 0.0188 0.4916
Li4 Li 0.0224 0.5005 0.2582
Li5 Li 0.4904 0.2450 0.3759
Li6 Li 0.4971 0.5024 0.5046
Li7 Li 0.5023 0.5053 0.9978
Li8 Li 0.5083 0.0060 0.7501
Li9 Li 0.5240 0.0102 0.2584
Mn1 Mn 0.0176 0.2550 0.1307
Mn2 Mn 0.4958 0.7570 0.6273
Co1 Co 0.0182 0.7546 0.8781
Co2 Co 0.5160 0.7518 0.1254
Co3 Co 0.5190 0.2580 0.8741
Co4 Co 0.9971 0.2549 0.6177
Co5 Co 0.9967 0.7550 0.3739
O1 O 0.0038 0.3695 0.4603
O2 O 0.0064 0.1368 0.2979
O3 O 0.0279 0.6408 0.0568
O4 O 0.0328 0.8709 0.6998
O5 O 0.0475 0.3679 0.9410
O6 O 0.4669 0.1397 0.5714
O7 O 0.4806 0.8695 0.4427
O8 O 0.4826 0.6406 0.8113
O9 O 0.4975 0.3639 0.1795
O10 O 0.5092 0.6353 0.3070
O11 O 0.5287 0.3660 0.6944
O12 O 0.5362 0.1508 0.0605
O13 O 0.5484 0.8712 0.9442
O14 O 0.9593 0.6383 0.5570
O15 O 0.9795 0.1476 0.8053
O16 O 0.9977 0.8676 0.1928
```

Largest 10 diffraction maxima, in order of falling intensity, 10 to 90 degrees two-theta:
18.32°, intensity 100
41.58°, intensity 33
44.05°, intensity 27
44.71°, intensity 25
34.63°, intensity 18
62.18°, intensity 16
36.28°, intensity 13
36.68°, intensity 11
62.62°, intensity 8
62.78°, intensity 8


Structure and calculated powder XRD pattern of Mn7As6O24 (the PBE+U geometry in the Materials Project; Cu Kα).

Cell and atoms:
```
data_Mn7As6O24
_space_group_name_H-M_alt 'P -1'
_space_group_IT_number 2
_space_group_name_Hall '-P 1'
_cell_length_a 6.5709
_cell_length_b 8.4532
_cell_length_c 9.9536
_cell_angle_alpha 106.36
_cell_angle_beta 107.89
_cell_angle_gamma 100.30
loop_
_atom_site_label
_atom_site_type_symbol
_atom_site_fract_x
_atom_site_fract_y
_atom_site_fract_z
Mn1 Mn 0.0000 0.0000 0.0000
Mn2 Mn 0.0564 0.7195 0.5234
Mn3 Mn 0.2767 0.8164 0.2843
Mn4 Mn 0.3852 0.4558 0.1163
As1 As 0.0872 0.5789 0.8275
As2 As 0.2252 0.1303 0.7727
As3 As 0.3907 0.2337 0.3697
O1 O 0.9997 0.1796 0.6626
O2 O 0.0494 0.5241 0.6382
O3 O 0.1067 0.7833 0.9162
O4 O 0.1412 0.5543 0.1633
O5 O 0.1986 0.9159 0.7075
O6 O 0.2270 0.1859 0.9534
O7 O 0.2420 0.2817 0.4816
O8 O 0.2578 0.0304 0.2282
O9 O 0.3208 0.5232 0.9179
O10 O 0.3623 0.7769 0.5023
O11 O 0.4606 0.3801 0.2946
O12 O 0.4684 0.2444 0.7702
```

Largest 10 diffraction maxima, in order of falling intensity, 10 to 90 degrees two-theta:
28.25°, intensity 100
28.69°, intensity 24
29.27°, intensity 21
27.62°, intensity 21
31.83°, intensity 18
33.25°, intensity 17
32.08°, intensity 14
56.69°, intensity 13
58.42°, intensity 12
24.48°, intensity 11


Structure and calculated powder XRD pattern of MgMn2Ag2O6 (the PBE+U geometry in the Materials Project; Cu Kα).

Cell and atoms:
```
data_MgMn2Ag2O6
_space_group_name_H-M_alt 'R -3'
_space_group_IT_number 148
_space_group_name_Hall '-R 3'
_cell_length_a 5.1219
_cell_length_b 5.1219
_cell_length_c 17.5506
_cell_angle_alpha 90.00
_cell_angle_beta 90.00
_cell_angle_gamma 120.00
loop_
_atom_site_label
_atom_site_type_symbol
_atom_site_fract_x
_atom_site_fract_y
_atom_site_fract_z
Mg1 Mg 0.0000 0.0000 0.0000
Mn1 Mn 0.0000 0.0000 0.3371
Ag1 Ag 0.0000 0.0000 0.1653
O1 O 0.0066 0.3550 0.9412
```

Largest 10 diffraction maxima, in order of falling intensity, 10 to 90 degrees two-theta:
47.17°, intensity 100
35.04°, intensity 77
22.46°, intensity 50
30.56°, intensity 34
28.62°, intensity 33
62.85°, intensity 25
38.37°, intensity 21
74.75°, intensity 21
71.50°, intensity 17
82.18°, intensity 17


Structure and calculated powder XRD pattern of La4Mn3NiO12 (the PBE+U geometry in the Materials Project; Cu Kα).

Cell and atoms:
```
data_La4Mn3NiO12
_space_group_name_H-M_alt 'P -1'
_space_group_IT_number 2
_space_group_name_Hall '-P 1'
_cell_length_a 5.5859
_cell_length_b 5.6058
_cell_length_c 7.8787
_cell_angle_alpha 89.82
_cell_angle_beta 89.64
_cell_angle_gamma 89.46
loop_
_atom_site_label
_atom_site_type_symbol
_atom_site_fract_x
_atom_site_fract_y
_atom_site_fract_z
La1 La 0.0040 0.4702 0.2476
La2 La 0.4861 0.9661 0.2461
Mn1 Mn 0.0000 0.0000 0.0000
Mn2 Mn 0.0000 0.0000 0.5000
Mn3 Mn 0.5000 0.5000 0.5000
Ni1 Ni 0.5000 0.5000 0.0000
O1 O 0.0846 0.9859 0.7585
O2 O 0.2125 0.7277 0.0447
O3 O 0.2204 0.7164 0.4553
O4 O 0.2678 0.2093 0.4540
O5 O 0.2684 0.2144 0.0423
O6 O 0.4227 0.4857 0.7430
```

Largest 10 diffraction maxima, in order of falling intensity, 10 to 90 degrees two-theta:
32.08°, intensity 100
31.90°, intensity 66
46.09°, intensity 38
32.18°, intensity 33
57.09°, intensity 26
57.19°, intensity 21
22.57°, intensity 20
45.64°, intensity 18
57.41°, intensity 15
39.42°, intensity 14